No. 1
This entry pairs a crystal structure of BaNiBiP with its simulated XRD peak list. Radiation: Cu Kα X-rays. Structure: a crystal structure in Alexandria, relaxed with GGA-PBE.
Intensities are scaled so that the largest is 100.

Top 10 peaks for 2θ = 10–90°, in order of falling intensity:
2theta	d (Å)	I (rel.)
33.4	2.685	100
42.1	2.148	34
53.3	1.719	32
30.4	2.937	30
15.4	5.740	28
31.2	2.870	27
22.1	4.024	25
71.3	1.322	22
56.9	1.619	22
31.3	2.858	18

Atomic structure:
```
BaNiBiP
1.0
4.296 0.000 0.000
0.000 4.296 0.000
0.000 0.000 11.480
Ba Ni Bi P
2 2 2 2
direct
0.250 0.250 0.226
0.750 0.750 0.774
0.250 0.750 0.000
0.750 0.250 0.000
0.250 0.750 0.500
0.750 0.250 0.500
0.250 0.250 0.917
0.750 0.750 0.083
```


No. 2
This entry pairs a crystal structure of Ba8Bi4O17 with its simulated XRD peak list. Radiation: Cu Kα X-rays. Structure: a crystal structure in Alexandria, relaxed with GGA-PBE.
Intensities are scaled so that the largest is 100.

Top 10 peaks for 2θ = 10–90°, in order of falling intensity:
2theta	d (Å)	I (rel.)
28.0	3.190	100
28.2	3.165	69
27.8	3.208	31
49.8	1.832	27
40.4	2.233	19
39.5	2.280	16
49.4	1.846	15
57.8	1.595	15
40.2	2.243	14
49.9	1.829	14

Atomic structure:
```
Ba8Bi4O17
1.0
10.090 -4.466 0.000
10.090 4.466 0.000
-1.914 0.000 6.082
Ba Bi O
8 4 17
direct
0.000 0.000 0.000
0.066 0.588 0.787
0.261 0.781 0.508
0.361 0.361 0.310
0.429 0.950 0.176
0.588 0.066 0.787
0.781 0.261 0.508
0.950 0.429 0.176
0.178 0.178 0.659
0.514 0.514 0.010
0.674 0.674 0.660
0.841 0.841 0.336
0.062 0.596 0.339
0.087 0.087 0.769
0.113 0.113 0.324
0.246 0.246 0.989
0.267 0.663 0.063
0.268 0.268 0.546
0.419 0.930 0.660
0.462 0.462 0.668
0.572 0.572 0.364
0.596 0.062 0.339
0.610 0.610 0.939
0.663 0.267 0.063
0.740 0.740 0.439
0.777 0.777 0.983
0.890 0.890 0.683
0.930 0.419 0.660
0.941 0.941 0.302
```


No. 3
This entry pairs a crystal structure of Ba11Bi9O30 with its simulated XRD peak list. Radiation: Cu Kα X-rays. Structure: a crystal structure in Alexandria, relaxed with GGA-PBE.
Intensities are scaled so that the largest is 100.

Top 10 peaks for 2θ = 10–90°, in order of falling intensity:
2theta	d (Å)	I (rel.)
28.6	3.124	100
28.3	3.150	99
40.7	2.218	78
28.2	3.160	50
28.7	3.113	49
50.2	1.817	46
50.0	1.823	24
20.0	4.436	23
50.4	1.809	22
50.8	1.796	21

Atomic structure:
```
Ba11Bi9O30
1.0
8.882 0.000 0.000
4.274 9.876 0.000
4.439 -0.044 9.954
Ba Bi O
11 9 30
direct
0.000 0.000 0.000
0.039 0.307 0.111
0.141 0.896 0.309
0.254 0.499 0.500
0.356 0.099 0.696
0.454 0.699 0.906
0.546 0.301 0.094
0.644 0.901 0.304
0.746 0.501 0.500
0.859 0.104 0.691
0.961 0.693 0.889
0.099 0.597 0.205
0.203 0.200 0.399
0.307 0.795 0.596
0.395 0.399 0.802
0.500 0.000 0.000
0.605 0.601 0.198
0.693 0.205 0.404
0.797 0.800 0.601
0.901 0.403 0.795
0.001 0.201 0.846
0.009 0.340 0.585
0.045 0.801 0.622
0.145 0.428 0.768
0.195 0.385 0.264
0.212 0.853 0.795
0.215 0.529 0.994
0.226 0.007 0.527
0.271 0.962 0.049
0.356 0.604 0.173
0.377 0.206 0.927
0.389 0.584 0.657
0.399 0.081 0.205
0.415 0.734 0.385
0.430 0.206 0.442
0.570 0.794 0.558
0.585 0.266 0.615
0.601 0.919 0.795
0.611 0.416 0.343
0.623 0.794 0.073
0.644 0.396 0.827
0.729 0.038 0.951
0.774 0.993 0.473
0.785 0.471 0.006
0.788 0.147 0.205
0.805 0.615 0.736
0.855 0.572 0.232
0.955 0.199 0.378
0.991 0.660 0.415
0.999 0.799 0.154
```


No. 4
This entry pairs a crystal structure of Ba8Bi10O27 with its simulated XRD peak list. Radiation: Cu Kα X-rays. Structure: a crystal structure in Alexandria, relaxed with GGA-PBE.
Intensities are scaled so that the largest is 100.

Top 10 peaks for 2θ = 10–90°, in order of falling intensity:
2theta	d (Å)	I (rel.)
28.4	3.140	100
28.7	3.112	96
40.8	2.210	51
50.5	1.807	44
50.3	1.813	22
51.0	1.792	20
66.7	1.402	19
58.8	1.570	17
67.1	1.394	17
59.4	1.556	15

Atomic structure:
```
Ba8Bi10O27
1.0
5.438 3.140 7.591
-5.438 3.140 7.591
0.000 -6.279 7.591
Ba Bi O
8 10 27
direct
0.054 0.388 0.735
0.162 0.162 0.162
0.265 0.946 0.612
0.388 0.735 0.054
0.612 0.265 0.946
0.735 0.054 0.388
0.838 0.838 0.838
0.946 0.612 0.265
0.000 0.000 0.000
0.113 0.774 0.446
0.226 0.554 0.887
0.342 0.342 0.342
0.446 0.113 0.774
0.500 0.500 0.500
0.554 0.887 0.226
0.658 0.658 0.658
0.774 0.446 0.113
0.887 0.226 0.554
0.000 0.000 0.500
0.000 0.500 0.000
0.075 0.885 0.211
0.097 0.305 0.478
0.115 0.789 0.925
0.127 0.660 0.683
0.211 0.075 0.885
0.296 0.581 0.368
0.305 0.478 0.097
0.317 0.873 0.340
0.340 0.317 0.873
0.368 0.296 0.581
0.419 0.632 0.704
0.478 0.097 0.305
0.500 0.000 0.000
0.522 0.903 0.695
0.581 0.368 0.296
0.632 0.704 0.419
0.660 0.683 0.127
0.683 0.127 0.660
0.695 0.522 0.903
0.704 0.419 0.632
0.789 0.925 0.115
0.873 0.340 0.317
0.885 0.211 0.075
0.903 0.695 0.522
0.925 0.115 0.789
```


No. 5
This entry pairs a crystal structure of BaBiO with its simulated XRD peak list. Radiation: Cu Kα X-rays. Structure: a crystal structure in Alexandria, relaxed with GGA-PBE.
Intensities are scaled so that the largest is 100.

Top 10 peaks for 2θ = 10–90°, in order of falling intensity:
2theta	d (Å)	I (rel.)
28.4	3.145	100
32.2	2.778	56
55.1	1.666	33
46.2	1.964	21
49.2	1.852	16
34.3	2.613	16
47.7	1.908	14
69.8	1.348	12
41.4	2.183	11
16.9	5.250	11

Atomic structure:
```
BaBiO
1.0
3.929 0.000 0.000
0.000 3.929 0.000
0.000 0.000 10.499
Ba Bi O
2 2 2
direct
0.000 0.000 0.000
0.500 0.500 0.270
0.000 0.000 0.557
0.500 0.500 0.714
0.000 0.000 0.245
0.500 0.500 0.024
```


No. 6
This entry pairs a crystal structure of Ba8Bi4O17 with its simulated XRD peak list. Radiation: Cu Kα X-rays. Structure: a crystal structure in Alexandria, relaxed with GGA-PBE.
Intensities are scaled so that the largest is 100.

Top 10 peaks for 2θ = 10–90°, in order of falling intensity:
2theta	d (Å)	I (rel.)
27.8	3.210	100
28.1	3.177	67
27.9	3.201	35
39.8	2.267	32
49.6	1.838	21
49.1	1.854	20
40.1	2.249	16
49.4	1.845	14
49.3	1.849	14
65.3	1.428	11

Atomic structure:
```
Ba8Bi4O17
1.0
6.357 0.000 0.000
-0.044 6.411 0.000
-3.019 -3.122 13.615
Ba Bi O
8 4 17
direct
0.000 0.000 0.000
0.089 0.616 0.166
0.192 0.237 0.325
0.366 0.391 0.691
0.516 0.493 0.001
0.652 0.734 0.324
0.770 0.314 0.494
0.867 0.924 0.689
0.276 0.814 0.508
0.431 0.949 0.844
0.600 0.107 0.165
0.932 0.454 0.837
0.004 0.607 0.435
0.081 0.062 0.559
0.083 0.553 0.986
0.134 0.699 0.803
0.184 0.220 0.815
0.335 0.941 0.189
0.427 0.394 0.192
0.428 0.804 0.653
0.429 0.054 0.000
0.433 0.018 0.444
0.460 0.565 0.446
0.676 0.678 0.860
0.726 0.193 0.857
0.754 0.819 0.125
0.775 0.133 0.314
0.786 0.356 0.684
0.846 0.285 0.132
```


No. 7
This entry pairs a crystal structure of Ba3Bi2O9 with its simulated XRD peak list. Radiation: Cu Kα X-rays. Structure: a crystal structure in Alexandria, relaxed with GGA-PBE.
Intensities are scaled so that the largest is 100.

Top 10 peaks for 2θ = 10–90°, in order of falling intensity:
2theta	d (Å)	I (rel.)
28.6	3.124	100
29.7	3.003	82
41.7	2.165	54
52.1	1.756	39
20.5	4.330	23
17.0	5.202	23
67.6	1.386	19
69.4	1.353	17
52.8	1.734	17
49.9	1.829	17

Atomic structure:
```
Ba3Bi2O9
1.0
6.007 0.000 0.000
-3.003 5.202 0.000
0.000 0.000 7.814
Ba Bi O
3 2 9
direct
0.000 0.000 0.000
0.333 0.667 0.362
0.667 0.333 0.638
0.333 0.667 0.836
0.667 0.333 0.164
0.000 0.500 0.000
0.171 0.342 0.678
0.171 0.829 0.678
0.342 0.171 0.322
0.500 0.000 0.000
0.500 0.500 0.000
0.658 0.829 0.678
0.829 0.171 0.322
0.829 0.658 0.322
```


No. 8
This entry pairs a crystal structure of BaBiO with its simulated XRD peak list. Radiation: Cu Kα X-rays. Structure: a crystal structure in Alexandria, relaxed with GGA-PBE.
Intensities are scaled so that the largest is 100.

Top 10 peaks for 2θ = 10–90°, in order of falling intensity:
2theta	d (Å)	I (rel.)
28.3	3.158	100
27.4	3.251	95
32.5	2.759	59
29.2	3.061	49
54.6	1.682	33
23.2	3.837	26
41.5	2.175	25
28.9	3.090	23
48.6	1.873	22
58.0	1.590	20

Atomic structure:
```
BaBiO
1.0
3.974 0.000 0.000
0.000 14.747 0.000
0.000 0.000 6.123
Ba Bi O
4 4 4
direct
0.000 0.166 0.000
0.000 0.834 0.500
0.500 0.334 0.500
0.500 0.666 0.000
0.000 0.427 0.995
0.000 0.573 0.495
0.500 0.073 0.495
0.500 0.927 0.995
0.000 0.312 0.241
0.000 0.688 0.741
0.500 0.188 0.741
0.500 0.812 0.241
```


No. 9
This entry pairs a crystal structure of Ba3BiO5 with its simulated XRD peak list. Radiation: Cu Kα X-rays. Structure: a crystal structure in Alexandria, relaxed with GGA-PBE.
Intensities are scaled so that the largest is 100.

Top 10 peaks for 2θ = 10–90°, in order of falling intensity:
2theta	d (Å)	I (rel.)
27.5	3.243	100
27.3	3.270	29
33.9	2.642	24
33.8	2.652	22
44.1	2.055	21
48.3	1.883	20
54.9	1.672	16
50.8	1.796	14
62.4	1.488	14
40.6	2.222	9

Atomic structure:
```
Ba3BiO5
1.0
-3.736 3.736 6.541
3.736 -3.736 6.541
3.736 3.736 -6.541
Ba Bi O
6 2 10
direct
0.181 0.681 0.862
0.250 0.250 0.000
0.319 0.181 0.500
0.681 0.819 0.500
0.750 0.750 0.000
0.819 0.319 0.138
0.250 0.750 0.500
0.750 0.250 0.500
0.000 0.000 0.000
0.009 0.196 0.500
0.196 0.696 0.186
0.304 0.491 0.500
0.491 0.991 0.186
0.500 0.500 0.000
0.509 0.009 0.814
0.696 0.509 0.500
0.804 0.304 0.814
0.991 0.804 0.500
```


No. 10
This entry pairs a crystal structure of BaBi6P4O20 with its simulated XRD peak list. Radiation: Cu Kα X-rays. Structure: a crystal structure in Alexandria, relaxed with GGA-PBE.
Intensities are scaled so that the largest is 100.

Top 10 peaks for 2θ = 10–90°, in order of falling intensity:
2theta	d (Å)	I (rel.)
27.0	3.306	100
32.2	2.782	92
27.1	3.285	69
27.7	3.220	69
30.8	2.904	40
48.1	1.892	30
26.4	3.374	29
13.0	6.835	28
21.5	4.134	28
46.0	1.971	24

Atomic structure:
```
BaBi6P4O20
1.0
7.143 0.000 0.000
-2.881 7.257 0.000
-0.396 -3.116 8.729
Ba Bi P O
1 6 4 20
direct
0.000 0.000 0.000
0.202 0.693 0.673
0.326 0.120 0.509
0.444 0.798 0.092
0.556 0.202 0.908
0.674 0.880 0.491
0.798 0.307 0.327
0.040 0.268 0.750
0.353 0.405 0.261
0.647 0.595 0.739
0.960 0.732 0.250
0.047 0.788 0.423
0.133 0.820 0.164
0.137 0.289 0.288
0.147 0.494 0.824
0.195 0.169 0.755
0.328 0.902 0.901
0.362 0.331 0.088
0.399 0.628 0.314
0.445 0.973 0.637
0.490 0.632 0.643
0.510 0.368 0.357
0.555 0.027 0.363
0.601 0.372 0.686
0.638 0.669 0.912
0.672 0.098 0.099
0.805 0.831 0.245
0.853 0.506 0.176
0.863 0.711 0.712
0.867 0.180 0.836
0.953 0.212 0.577
```